(1)
Li4Mn3Sn2Sb3O16: calculated powder diffraction line list (Cu Kα X-rays), based on a cell relaxed with GGA+U.

Lattice parameters (Å, degrees): 6.361 6.361 10.004 91.34 91.34 59.16
Sites, in units of the cell vectors:
Li  0.000  0.000  0.000
Li  0.002  0.002  0.517
Li  0.340  0.340  0.611
Li  0.677  0.677  0.092
Mn  0.165  0.165  0.287
Mn  0.333  0.822  0.789
Mn  0.822  0.333  0.789
Sn  0.318  0.318  0.999
Sn  0.651  0.651  0.521
Sb  0.165  0.658  0.285
Sb  0.658  0.165  0.285
Sb  0.823  0.823  0.785
O  0.040  0.492  0.159
O  0.144  0.664  0.906
O  0.154  0.154  0.913
O  0.316  0.823  0.401
O  0.340  0.340  0.395
O  0.478  0.478  0.163
O  0.492  0.040  0.159
O  0.515  0.515  0.652
O  0.530  0.964  0.654
O  0.664  0.144  0.906
O  0.678  0.678  0.897
O  0.823  0.316  0.401
O  0.836  0.836  0.394
O  0.964  0.530  0.654
O  0.980  0.980  0.697
O  0.988  0.988  0.186

The 8 most intense peaks (2θ from 10° to 90°), in order of falling intensity:
2θ = 18.41°, intensity 100
2θ = 33.73°, intensity 92
2θ = 18.12°, intensity 84
2θ = 17.74°, intensity 72
2θ = 33.90°, intensity 71
2θ = 18.60°, intensity 67
2θ = 31.66°, intensity 60
2θ = 58.02°, intensity 54

***

(2)
MgFe3OF7: calculated powder diffraction line list (Cu Kα X-rays), based on a cell relaxed with GGA+U.

Lattice parameters (Å, degrees): 5.939 5.939 5.939 64.40 64.40 64.40
Sites, in units of the cell vectors:
Mg  0.000  0.000  0.000
Fe  0.138  0.595  0.595
Fe  0.595  0.138  0.595
Fe  0.595  0.595  0.138
O  0.370  0.370  0.370
F  0.364  0.364  0.834
F  0.364  0.834  0.364
F  0.379  0.869  0.869
F  0.834  0.364  0.364
F  0.859  0.859  0.859
F  0.869  0.379  0.869
F  0.869  0.869  0.379

The 8 most intense peaks (2θ from 10° to 90°), in order of falling intensity:
2θ = 18.96°, intensity 100
2θ = 41.81°, intensity 85
2θ = 33.31°, intensity 66
2θ = 20.56°, intensity 36
2θ = 58.32°, intensity 35
2θ = 62.87°, intensity 26
2θ = 17.37°, intensity 21
2θ = 30.23°, intensity 19

***

(3)
MgCr2O4: calculated powder diffraction line list (Cu Kα X-rays), based on a cell relaxed with GGA+U.

Lattice parameters (Å, degrees): 5.933 5.933 5.933 119.17 116.67 93.66
Sites, in units of the cell vectors:
Mg  0.000  0.000  0.000
Mg  0.500  0.000  0.500
Cr  0.000  0.000  0.500
Cr  0.000  0.500  0.000
Cr  0.376  0.626  0.750
Cr  0.624  0.374  0.250
O  0.214  0.744  0.470
O  0.226  0.256  0.970
O  0.249  0.232  0.483
O  0.249  0.766  0.017
O  0.751  0.234  0.983
O  0.751  0.768  0.517
O  0.774  0.744  0.030
O  0.786  0.256  0.530

The 8 most intense peaks (2θ from 10° to 90°), in order of falling intensity:
2θ = 34.96°, intensity 100
2θ = 62.80°, intensity 73
2θ = 30.20°, intensity 58
2θ = 36.19°, intensity 58
2θ = 34.26°, intensity 50
2θ = 28.66°, intensity 42
2θ = 54.93°, intensity 38
2θ = 36.41°, intensity 32